# MnPtIO6
Theoretical powder diffractogram, Cu Kα (weighted mean of Kα1 and Kα2). Input: a cell relaxed with GGA+U.

The 10 most intense peaks (2θ = 10–90°), in order of rising 2θ:
| hkl | two_theta | I_rel |
| --- | --- | --- |
| 0 0 2 | 19.11 | 612 |
| 1 0 0 | 19.29 | 283 |
| 1 0 2 | 27.28 | 1000 |
| 1 1 0 | 33.73 | 642 |
| 1 1 2 | 39.06 | 633 |
| 2 0 2 | 43.91 | 267 |
| 1 1 4 | 52.32 | 604 |
| 2 1 2 | 56.49 | 253 |
| 3 0 0 | 60.34 | 230 |
| 4 -2 4 | 83.91 | 148 |

Cell and atoms:
abc: 5.314 5.314 9.289
angles: 90.00 90.00 120.00
Sites, in units of the cell vectors:
Mn (0.000, 0.000, 0.000)
Mn (0.000, 0.000, 0.500)
Pt (0.333, 0.667, 0.250)
Pt (0.667, 0.333, 0.750)
I (0.333, 0.667, 0.750)
I (0.667, 0.333, 0.250)
O (0.003, 0.352, 0.133)
O (0.003, 0.651, 0.367)
O (0.349, 0.352, 0.367)
O (0.349, 0.997, 0.133)
O (0.352, 0.003, 0.633)
O (0.352, 0.349, 0.867)
O (0.648, 0.651, 0.133)
O (0.648, 0.997, 0.367)
O (0.651, 0.003, 0.867)
O (0.651, 0.648, 0.633)
O (0.997, 0.349, 0.633)
O (0.997, 0.648, 0.867)